Theoretical PXRD pattern
Compound: FeBi3O6
Radiation: Cu Ka
Structure: a DFT-relaxed cell (PBE+U, Alexandria)
No peak broadening, texture or thermal motion is included.

Cell and atoms:
Cell lengths 9.3649, 11.6550, 5.6561 Å; angles 90.00, 90.00, 90.00 degrees
Space group Cmc2_1 (No. 36)
Asymmetric unit:
Fe1 0.0000 0.1913 0.0000 (multiplicity 4)
Bi1 0.0000 0.3977 0.5604 (multiplicity 4)
Bi2 0.1930 0.1107 0.5396 (multiplicity 8)
O1 0.0000 0.0473 0.8443 (multiplicity 4)
O2 0.0000 0.2167 0.3303 (multiplicity 4)
O3 0.1559 0.4814 0.2995 (multiplicity 8)
O4 0.1607 0.2591 0.8385 (multiplicity 8)

Largest 12 diffraction maxima, by intensity, 5° ≤ 2θ ≤ 70°:
(2 2 1), 29.12°, rel. 100; (1 3 1), 29.48°, rel. 38; (3 1 2), 43.89°, rel. 25; (0 4 2), 44.66°, rel. 24; (0 0 2), 31.64°, rel. 23; (3 1 0), 29.63°, rel. 22; (1 1 1), 19.86°, rel. 22; (6 0 0), 59.27°, rel. 18; (3 5 0), 48.76°, rel. 18; (5 3 1), 56.96°, rel. 17; (0 4 0), 30.68°, rel. 16; (2 2 3), 54.80°, rel. 16